This entry pairs a crystal structure of SrTm2NbN4 with its calculated powder diffraction line list. Radiation: Cu Kα (λ = 1.5418 Å). Structure: a crystal structure in Alexandria, relaxed with GGA-PBE.
Kinematic intensities with the Lorentz-polarization factor, no thermal factor.

Crystal structure
```
data_SrTm2NbN4
_chemical_formula_sum 'Sr4 Tm8 Nb4 N16'
_cell_length_a 3.432
_cell_length_b 12.050
_cell_length_c 12.063
_cell_angle_alpha 90.00
_cell_angle_beta 90.00
_cell_angle_gamma 90.00
_symmetry_space_group_name_H-M 'C m c m'
_symmetry_Int_Tables_number 63
_symmetry_space_group_name_Hall '-C 2c 2'
loop_
_atom_site_label
_atom_site_fract_x
_atom_site_fract_y
_atom_site_fract_z
Sr1 0.000 0.100 0.250
Tm1 0.000 0.371 0.034
Nb1 0.000 0.166 0.750
N1 0.000 0.000 0.000
N2 0.000 0.257 0.615
N3 0.000 0.428 0.250
```

Principal peaks in the range 10° ≤ 2θ ≤ 90°, sorted by position:
2θ = 14.7°, rel. 25, (0 0 2)
2θ = 26.7°, rel. 27, (0 2 3)
2θ = 29.6°, rel. 100, (0 4 0)
2θ = 30.9°, rel. 99, (1 1 2)
2θ = 35.2°, rel. 36, (1 3 1)
2θ = 37.6°, rel. 86, (1 3 2)
2θ = 42.4°, rel. 28, (0 4 4)
2θ = 51.6°, rel. 38, (1 3 5)
2θ = 60.6°, rel. 27, (1 1 7)
2θ = 62.3°, rel. 35, (2 4 0)

This entry pairs a crystal structure of Th3SeN3 with its calculated powder diffraction line list. Radiation: Cu Kα (λ = 1.5418 Å). Structure: a crystal structure in Alexandria, relaxed with GGA-PBE.
Kinematic intensities with the Lorentz-polarization factor, no thermal factor.

Crystal structure
```
data_Th3SeN3
_chemical_formula_sum 'Th18 Se6 N18'
_cell_length_a 6.9880
_cell_length_b 6.9880
_cell_length_c 21.3970
_cell_angle_alpha 90.00
_cell_angle_beta 90.00
_cell_angle_gamma 120.00
_symmetry_space_group_name_H-M 'R -3'
_symmetry_Int_Tables_number 148
_symmetry_space_group_name_Hall '-R 3'
loop_
_atom_site_label
_atom_site_fract_x
_atom_site_fract_y
_atom_site_fract_z
Th1 0.0000 0.3319 0.4015
Se1 0.0000 0.0000 0.1667
N1 0.9997 0.3345 0.6240
```

Principal peaks in the range 10° ≤ 2θ ≤ 90°, sorted by position:
2θ = 25.0°, rel. 17, (0 0 6)
2θ = 25.5°, rel. 16, (1 1 0)
2θ = 28.4°, rel. 100, (1 1 3)
2θ = 36.0°, rel. 36, (2 -1 6)
2θ = 44.9°, rel. 29, (3 0 0)
2θ = 46.2°, rel. 17, (1 1 9)
2θ = 52.1°, rel. 15, (3 0 6)
2θ = 54.0°, rel. 18, (4 -2 3)
2θ = 60.2°, rel. 15, (3 0 9)
2θ = 72.8°, rel. 15, (4 1 3)

This entry pairs a crystal structure of InCo2 with its calculated powder diffraction line list. Radiation: Cu Kα (λ = 1.5418 Å). Structure: a crystal structure in Alexandria, relaxed with GGA-PBE.
Kinematic intensities with the Lorentz-polarization factor, no thermal factor.

Crystal structure
```
data_InCo2
_chemical_formula_sum 'In4 Co8'
_cell_length_a 9.795
_cell_length_b 2.838
_cell_length_c 6.641
_cell_angle_alpha 90.00
_cell_angle_beta 110.83
_cell_angle_gamma 90.00
_symmetry_space_group_name_H-M 'C 1 2/m 1'
_symmetry_Int_Tables_number 12
_symmetry_space_group_name_Hall '-C 2y'
loop_
_atom_site_label
_atom_site_fract_x
_atom_site_fract_y
_atom_site_fract_z
In1 0.167 0.000 0.139
Co1 0.037 0.500 0.751
Co2 0.133 0.000 0.529
```

Principal peaks in the range 10° ≤ 2θ ≤ 90°, sorted by position:
2θ = 34.7°, rel. 26, (1 1 -1)
2θ = 37.6°, rel. 25, (1 1 1)
2θ = 39.8°, rel. 50, (4 0 -2)
2θ = 40.5°, rel. 39, (2 0 2)
2θ = 41.9°, rel. 100, (1 1 -2)
2θ = 43.6°, rel. 97, (3 1 0)
2θ = 43.8°, rel. 25, (0 0 3)
2θ = 46.9°, rel. 19, (4 0 1)
2θ = 65.8°, rel. 18, (0 2 0)
2θ = 71.8°, rel. 18, (3 1 3)

This entry pairs a crystal structure of Th8As3AuSe4 with its calculated powder diffraction line list. Radiation: Cu Kα (λ = 1.5418 Å). Structure: a crystal structure in Alexandria, relaxed with GGA-PBE.
Kinematic intensities with the Lorentz-polarization factor, no thermal factor.

Crystal structure
```
data_Th8As3AuSe4
_chemical_formula_sum 'Th24 As9 Au3 Se12'
_cell_length_a 8.5274
_cell_length_b 8.5274
_cell_length_c 20.6191
_cell_angle_alpha 90.00
_cell_angle_beta 90.00
_cell_angle_gamma 120.00
_symmetry_space_group_name_H-M 'R -3 m'
_symmetry_Int_Tables_number 166
_symmetry_space_group_name_Hall '-R 3 2"'
loop_
_atom_site_label
_atom_site_fract_x
_atom_site_fract_y
_atom_site_fract_z
Th1 0.0000 0.0000 0.2482
Th2 0.0022 0.5011 0.7514
As1 0.0000 0.5000 0.5000
Au1 0.0000 0.0000 0.5000
Se1 0.0000 0.0000 0.0000
Se2 0.0000 0.5000 0.0000
```

Principal peaks in the range 10° ≤ 2θ ≤ 90°, sorted by position:
2θ = 25.6°, rel. 24, (2 0 2)
2θ = 29.8°, rel. 100, (0 2 4)
2θ = 42.4°, rel. 39, (2 2 0)
2θ = 42.8°, rel. 38, (2 0 8)
2θ = 50.4°, rel. 8, (2 2 6)
2θ = 52.7°, rel. 21, (4 0 4)
2θ = 61.8°, rel. 13, (0 4 8)
2θ = 69.8°, rel. 18, (2 4 4)
2θ = 70.4°, rel. 18, (2 2 12)
2θ = 77.8°, rel. 13, (4 2 8)